Entry 1:
Dy4Tc: simulated X-ray diffraction stick pattern (CuKα), based on a structure optimized by DFT (PBE).
Peak positions follow from Bragg's law for the DFT cell and can differ from measured ones.

Crystal structure
```
data_Dy4Tc
_cell_length_a 6.3890
_cell_length_b 7.6831
_cell_length_c 6.1876
_cell_angle_alpha 90.00
_cell_angle_beta 107.60
_cell_angle_gamma 90.00
_space_group_name_H-M_alt 'P 1 2/c 1'
_space_group_IT_number 13
loop_
_space_group_symop_operation_xyz
'x,y,z'
'-x,-y,-z'
'-x,y,-z+1/2'
'x,-y,z+1/2'
loop_
_atom_site_label
_atom_site_type_symbol
_atom_site_fract_x
_atom_site_fract_y
_atom_site_fract_z
Dy1 Dy 0.2295 0.1434 0.0277
Dy2 Dy 0.2577 0.3867 0.5178
Tc1 Tc 0.5000 0.1231 0.7500
```

Most intense lines, 5° ≤ 2θ ≤ 70°, by angle:
| d_spacing | Position (°2θ) | I_rel | h k l |
| --- | --- | --- | --- |
| 3.062 | 29.2 | 721 | 1 2 -1 |
| 3.043 | 29.3 | 501 | 2 0 0 |
| 2.949 | 30.3 | 326 | 0 0 2 |
| 2.670 | 33.6 | 1000 | 1 2 1 |
| 2.536 | 35.4 | 383 | 2 0 -2 |
| 1.921 | 47.3 | 175 | 0 4 0 |
| 1.861 | 48.9 | 307 | 3 2 -1 |
| 1.856 | 49.1 | 172 | 2 0 2 |
| 1.817 | 50.2 | 261 | 1 2 -3 |
| 1.624 | 56.7 | 135 | 2 4 0 |
| 1.602 | 57.5 | 108 | 3 2 1 |
| 1.531 | 60.5 | 143 | 2 4 -2 |

***

Entry 2:
DyThTc: simulated X-ray diffraction stick pattern (CuKα), based on a structure optimized by DFT (PBE).
Peak positions follow from Bragg's law for the DFT cell and can differ from measured ones.

Crystal structure
```
data_DyThTc
_cell_length_a 6.5034
_cell_length_b 6.8962
_cell_length_c 6.8998
_cell_angle_alpha 90.00
_cell_angle_beta 95.22
_cell_angle_gamma 90.00
_space_group_name_H-M_alt 'P 1 21/c 1'
_space_group_IT_number 14
loop_
_space_group_symop_operation_xyz
'x,y,z'
'-x,-y,-z'
'-x,y+1/2,-z+1/2'
'x,-y+1/2,z+1/2'
loop_
_atom_site_label
_atom_site_type_symbol
_atom_site_fract_x
_atom_site_fract_y
_atom_site_fract_z
Dy1 Dy 0.0087 0.1783 0.3162
Th1 Th 0.4989 0.1867 0.6911
Tc1 Tc 0.2594 0.9999 0.0070
```

Most intense lines, 5° ≤ 2θ ≤ 70°, by angle:
| d_spacing | Position (°2θ) | I_rel | h k l |
| --- | --- | --- | --- |
| 3.441 | 25.9 | 568 | 0 0 2 |
| 3.238 | 27.5 | 732 | 2 0 0 |
| 2.870 | 31.2 | 774 | 1 1 -2 |
| 2.828 | 31.6 | 926 | 1 2 -1 |
| 2.740 | 32.7 | 810 | 1 2 1 |
| 2.694 | 33.3 | 725 | 1 1 2 |
| 2.471 | 36.4 | 678 | 2 0 -2 |
| 2.434 | 36.9 | 691 | 0 2 2 |
| 2.360 | 38.1 | 1000 | 2 2 0 |
| 2.256 | 40.0 | 441 | 2 0 2 |
| 2.180 | 41.4 | 359 | 0 3 1 |
| 2.174 | 41.5 | 369 | 0 1 3 |

***

Entry 3:
DyThTc: simulated X-ray diffraction stick pattern (CuKα), based on a structure optimized by DFT (PBE).
Peak positions follow from Bragg's law for the DFT cell and can differ from measured ones.

Crystal structure
```
data_DyThTc
_cell_length_a 11.9740
_cell_length_b 12.4160
_cell_length_c 8.8682
_cell_angle_alpha 90.00
_cell_angle_beta 90.00
_cell_angle_gamma 90.00
_space_group_name_H-M_alt 'F d d 2'
_space_group_IT_number 43
_space_group_name_Hall 'F 2 -2d'
loop_
_atom_site_label
_atom_site_type_symbol
_atom_site_fract_x
_atom_site_fract_y
_atom_site_fract_z
Dy1 Dy 0.1213 0.3244 0.0000
Th1 Th 0.0676 0.3645 0.5934
Tc1 Tc 0.0563 0.2813 0.2972
```

Most intense lines, 5° ≤ 2θ ≤ 70°, by angle:
| d_spacing | Position (°2θ) | I_rel | h k l |
| --- | --- | --- | --- |
| 6.181 | 14.3 | 217 | 1 1 1 |
| 4.309 | 20.6 | 215 | 2 2 0 |
| 3.090 | 28.9 | 1000 | 2 2 2 |
| 2.796 | 32.0 | 624 | 1 1 3 |
| 2.756 | 32.5 | 447 | 2 4 0 |
| 2.733 | 32.8 | 697 | 3 3 1 |
| 2.696 | 33.2 | 518 | 4 2 0 |
| 2.358 | 38.2 | 256 | 1 3 3 |
| 2.341 | 38.4 | 435 | 2 4 2 |
| 2.333 | 38.6 | 272 | 3 1 3 |
| 1.876 | 48.5 | 272 | 0 6 2 |
| 1.721 | 53.2 | 231 | 1 7 1 |

***

Entry 4:
Dy3TlTc: simulated X-ray diffraction stick pattern (CuKα), based on a structure optimized by DFT (PBE).
Peak positions follow from Bragg's law for the DFT cell and can differ from measured ones.

Crystal structure
```
data_Dy3TlTc
_cell_length_a 6.6371
_cell_length_b 9.7383
_cell_length_c 16.1940
_cell_angle_alpha 90.00
_cell_angle_beta 90.00
_cell_angle_gamma 90.00
_space_group_name_H-M_alt 'F m m m'
_space_group_IT_number 69
_space_group_name_Hall '-F 2 2'
loop_
_atom_site_label
_atom_site_type_symbol
_atom_site_fract_x
_atom_site_fract_y
_atom_site_fract_z
Dy1 Dy 0.0000 0.0000 0.2004
Dy2 Dy 0.0000 0.1900 0.3877
Tl1 Tl 0.2141 0.0000 0.0000
Tc1 Tc 0.2500 0.2500 0.2500
```

Most intense lines, 5° ≤ 2θ ≤ 70°, by angle:
| d_spacing | Position (°2θ) | I_rel | h k l |
| --- | --- | --- | --- |
| 4.173 | 21.3 | 150 | 0 2 2 |
| 3.113 | 28.7 | 555 | 0 2 4 |
| 2.870 | 31.2 | 647 | 1 3 1 |
| 2.789 | 32.1 | 597 | 1 1 5 |
| 2.597 | 34.5 | 1000 | 2 2 2 |
| 2.566 | 35.0 | 953 | 2 0 4 |
| 2.435 | 36.9 | 241 | 0 4 0 |
| 2.361 | 38.1 | 396 | 0 2 6 |
| 1.732 | 52.9 | 245 | 3 3 3 |
| 1.659 | 55.4 | 161 | 4 0 0 |
| 1.629 | 56.5 | 193 | 2 2 8 |
| 1.619 | 56.9 | 358 | 0 0 10 |

***

Entry 5:
Dy8TlTc2: simulated X-ray diffraction stick pattern (CuKα), based on a structure optimized by DFT (PBE).
Peak positions follow from Bragg's law for the DFT cell and can differ from measured ones.

Crystal structure
```
data_Dy8TlTc2
_cell_length_a 5.3567
_cell_length_b 15.7967
_cell_length_c 6.9300
_cell_angle_alpha 90.00
_cell_angle_beta 90.00
_cell_angle_gamma 90.00
_space_group_name_H-M_alt 'I m m 2'
_space_group_IT_number 44
loop_
_space_group_symop_operation_xyz
'x,y,z'
'-x,-y,z'
'-x,y,z'
'x,-y,z'
'x+1/2,y+1/2,z+1/2'
'-x+1/2,-y+1/2,z+1/2'
'-x+1/2,y+1/2,z+1/2'
'x+1/2,-y+1/2,z+1/2'
loop_
_atom_site_label
_atom_site_type_symbol
_atom_site_fract_x
_atom_site_fract_y
_atom_site_fract_z
Dy1 Dy 0.0000 0.0000 0.0000
Dy2 Dy 0.0000 0.1097 0.5500
Dy3 Dy 0.0000 0.2899 0.8801
Dy4 Dy 0.0000 0.3301 0.4135
Dy5 Dy 0.0000 0.5000 0.7683
Tl1 Tl 0.0000 0.5000 0.2038
Tc1 Tc 0.0000 0.1644 0.1844
```

Most intense lines, 5° ≤ 2θ ≤ 70°, by angle:
| d_spacing | Position (°2θ) | I_rel | h k l |
| --- | --- | --- | --- |
| 3.173 | 28.1 | 199 | 0 2 2 |
| 2.889 | 31.0 | 698 | 1 4 1 |
| 2.861 | 31.3 | 527 | 1 1 2 |
| 2.721 | 32.9 | 453 | 1 5 0 |
| 2.678 | 33.5 | 744 | 2 0 0 |
| 2.633 | 34.1 | 178 | 0 6 0 |
| 2.547 | 35.2 | 1000 | 1 3 2 |
| 2.236 | 40.3 | 151 | 1 6 1 |
| 2.047 | 44.2 | 135 | 2 2 2 |
| 1.878 | 48.5 | 132 | 2 6 0 |
| 1.520 | 61.0 | 205 | 3 3 2 |
| 1.503 | 61.7 | 184 | 1 9 2 |

***

Entry 6:
Dy2Tm7Tc2: simulated X-ray diffraction stick pattern (CuKα), based on a structure optimized by DFT (PBE).
Peak positions follow from Bragg's law for the DFT cell and can differ from measured ones.

Crystal structure
```
data_Dy2Tm7Tc2
_cell_length_a 3.5132
_cell_length_b 18.9975
_cell_length_c 9.2483
_cell_angle_alpha 90.00
_cell_angle_beta 90.00
_cell_angle_gamma 90.00
_space_group_name_H-M_alt 'I m m 2'
_space_group_IT_number 44
loop_
_space_group_symop_operation_xyz
'x,y,z'
'-x,-y,z'
'-x,y,z'
'x,-y,z'
'x+1/2,y+1/2,z+1/2'
'-x+1/2,-y+1/2,z+1/2'
'-x+1/2,y+1/2,z+1/2'
'x+1/2,-y+1/2,z+1/2'
loop_
_atom_site_label
_atom_site_type_symbol
_atom_site_fract_x
_atom_site_fract_y
_atom_site_fract_z
Dy1 Dy 0.0000 0.2444 0.0000
Tm1 Tm 0.0000 0.1146 0.3065
Tm2 Tm 0.0000 0.1374 0.6995
Tm3 Tm 0.0000 0.4185 0.4861
Tm4 Tm 0.0000 0.5000 0.0398
Tc1 Tc 0.0000 0.0000 0.7822
Tc2 Tc 0.0000 0.5000 0.7381
```

Most intense lines, 5° ≤ 2θ ≤ 70°, by angle:
| d_spacing | Position (°2θ) | I_rel | h k l |
| --- | --- | --- | --- |
| 9.499 | 9.3 | 257 | 0 2 0 |
| 3.313 | 26.9 | 377 | 0 4 2 |
| 3.072 | 29.1 | 367 | 1 3 0 |
| 2.769 | 32.3 | 1000 | 1 1 2 |
| 2.701 | 33.2 | 850 | 1 4 1 |
| 2.613 | 34.3 | 298 | 0 6 2 |
| 2.604 | 34.4 | 239 | 0 7 1 |
| 2.394 | 37.6 | 245 | 0 5 3 |
| 2.315 | 38.9 | 410 | 0 0 4 |
| 2.252 | 40.0 | 349 | 1 5 2 |
| 1.658 | 55.4 | 352 | 1 8 3 |
| 1.547 | 59.8 | 295 | 1 4 5 |

***

Entry 7:
Dy3Tm3ZnTc2: simulated X-ray diffraction stick pattern (CuKα), based on a structure optimized by DFT (PBE).
Peak positions follow from Bragg's law for the DFT cell and can differ from measured ones.

Crystal structure
```
data_Dy3Tm3ZnTc2
_cell_length_a 8.0818
_cell_length_b 8.0818
_cell_length_c 3.7914
_cell_angle_alpha 90.00
_cell_angle_beta 90.00
_cell_angle_gamma 120.00
_space_group_name_H-M_alt 'P -6 2 m'
_space_group_IT_number 189
_space_group_name_Hall 'P -6 -2'
loop_
_atom_site_label
_atom_site_type_symbol
_atom_site_fract_x
_atom_site_fract_y
_atom_site_fract_z
Dy1 Dy 0.0000 0.7186 0.0000
Tm1 Tm 0.0000 0.3963 0.5000
Zn1 Zn 0.0000 0.0000 0.5000
Tc1 Tc 0.3333 0.6667 0.0000
```

Most intense lines, 5° ≤ 2θ ≤ 70°, by angle:
| d_spacing | Position (°2θ) | I_rel | h k l |
| --- | --- | --- | --- |
| 2.765 | 32.4 | 1000 | 1 1 1 |
| 2.645 | 33.9 | 340 | 2 1 0 |
| 2.572 | 34.9 | 459 | 2 0 1 |
| 2.333 | 38.6 | 448 | 3 0 0 |
| 2.169 | 41.6 | 98 | 2 1 1 |
| 1.941 | 46.8 | 122 | 3 1 0 |
| 1.896 | 48.0 | 155 | 0 0 2 |
| 1.783 | 51.2 | 110 | 2 2 1 |
| 1.728 | 53.0 | 98 | 3 1 1 |
| 1.541 | 60.0 | 132 | 2 1 2 |
| 1.479 | 62.9 | 250 | 3 2 1 |
| 1.471 | 63.2 | 209 | 3 0 2 |

***

Entry 8:
DyUTc4: simulated X-ray diffraction stick pattern (CuKα), based on a structure optimized by DFT (PBE).
Peak positions follow from Bragg's law for the DFT cell and can differ from measured ones.

Crystal structure
```
data_DyUTc4
_cell_length_a 7.5977
_cell_length_b 7.5977
_cell_length_c 7.5977
_cell_angle_alpha 90.00
_cell_angle_beta 90.00
_cell_angle_gamma 90.00
_space_group_name_H-M_alt 'F -4 3 m'
_space_group_IT_number 216
_space_group_name_Hall 'F -4 2 3'
loop_
_atom_site_label
_atom_site_type_symbol
_atom_site_fract_x
_atom_site_fract_y
_atom_site_fract_z
Dy1 Dy 0.0000 0.0000 0.0000
U1 U 0.2500 0.2500 0.7500
Tc1 Tc 0.1253 0.1253 0.3747
```

Most intense lines, 5° ≤ 2θ ≤ 70°, by angle:
| d_spacing | Position (°2θ) | I_rel | h k l |
| --- | --- | --- | --- |
| 4.387 | 20.2 | 50 | 1 1 1 |
| 3.799 | 23.4 | 18 | 2 0 0 |
| 2.686 | 33.4 | 514 | 2 2 0 |
| 2.291 | 39.3 | 1000 | 3 1 1 |
| 2.193 | 41.2 | 213 | 2 2 2 |
| 1.743 | 52.5 | 17 | 3 3 1 |
| 1.699 | 54.0 | 8 | 4 2 0 |
| 1.551 | 59.6 | 200 | 4 2 2 |
| 1.462 | 63.6 | 325 | 5 1 1 |